Entry 1:
For Li9Mn2Co5O16, a DFT-relaxed cell (GGA+U, the Materials Project) gives the calculated powder X-ray diffraction pattern in this record (Cu Kα (λ = 1.5418 Å)).
Lines closer than 0.1° are merged.

Atomic structure:
```
data_Li9Mn2Co5O16
_space_group_name_H-M_alt 'P 1 2/m 1'
_space_group_IT_number 10
_cell_length_a 5.136
_cell_length_b 2.902
_cell_length_c 19.262
_cell_angle_alpha 90.00
_cell_angle_beta 95.25
_cell_angle_gamma 90.00
loop_
_space_group_symop_operation_xyz
'x,y,z'
'-x,-y,-z'
'-x,y,-z'
'x,-y,z'
loop_
_atom_site_label
_atom_site_type_symbol
_atom_site_fract_x
_atom_site_fract_y
_atom_site_fract_z
_atom_site_occupancy
Li1 Li 0.000 0.000 0.000 1
Li2 Li 0.108 0.500 0.882 1
Li3 Li 0.137 0.000 0.377 1
Li4 Li 0.380 0.500 0.627 1
Li5 Li 0.388 0.000 0.116 1
Mn1 Mn 0.243 0.000 0.751 1
Co1 Co 0.000 0.500 0.500 1
Co2 Co 0.256 0.500 0.247 1
Co3 Co 0.500 0.000 0.500 1
Co4 Co 0.500 0.500 0.000 1
O1 O 0.050 0.000 0.192 1
O2 O 0.081 0.500 0.694 1
O3 O 0.168 0.000 0.554 1
O4 O 0.235 0.500 0.056 1
O5 O 0.324 0.000 0.945 1
O6 O 0.332 0.500 0.440 1
O7 O 0.402 0.500 0.807 1
O8 O 0.460 0.000 0.305 1
```

Main lines, in order of falling intensity (5 to 70 degrees two-theta):
- 18.5 deg, rel. 100, hkl 0 0 4
- 43.8 deg, rel. 55, hkl 1 1 5
- 36.1 deg, rel. 28, hkl 1 1 1
- 43.2 deg, rel. 28, hkl 2 0 -6
- 35.5 deg, rel. 15, hkl 2 0 -2
- 63.0 deg, rel. 15, hkl 3 1 -1

***

Entry 2:
For SrCaNiBiO6, a DFT-relaxed cell (GGA+U, the Materials Project) gives the calculated powder X-ray diffraction pattern in this record (Cu Kα (λ = 1.5418 Å)).
Lines closer than 0.1° are merged.

Atomic structure:
```
data_SrCaNiBiO6
_space_group_name_H-M_alt 'F -4 3 m'
_space_group_IT_number 216
_space_group_name_Hall 'F -4 2 3'
_cell_length_a 8.102
_cell_length_b 8.102
_cell_length_c 8.102
_cell_angle_alpha 90.00
_cell_angle_beta 90.00
_cell_angle_gamma 90.00
loop_
_atom_site_label
_atom_site_type_symbol
_atom_site_fract_x
_atom_site_fract_y
_atom_site_fract_z
_atom_site_occupancy
Sr1 Sr 0.000 0.000 0.000 1
Ca1 Ca 0.000 0.000 0.500 1
Ni1 Ni 0.250 0.250 0.750 1
Bi1 Bi 0.250 0.250 0.250 1
O1 O 0.008 0.250 0.750 1
```

Main lines, in order of falling intensity (5 to 70 degrees two-theta):
- 31.2 deg, rel. 100, hkl 2 2 0
- 55.6 deg, rel. 40, hkl 4 2 2
- 44.7 deg, rel. 33, hkl 4 0 0
- 19.0 deg, rel. 32, hkl 1 1 1
- 21.9 deg, rel. 27, hkl 2 0 0
- 36.8 deg, rel. 22, hkl 3 1 1